Entry 1:
This entry pairs a crystal structure of Sr2MnRuO6 with its computed X-ray diffraction stick pattern. Radiation: Cu Kα (λ = 1.5418 Å). Structure: a crystal structure in the Materials Project, relaxed with PBE+U.

Largest 10 diffraction maxima, most intense first, 10° ≤ 2θ ≤ 90°:
| Position (°2θ) | I (rel.) | h k l |
| --- | --- | --- |
| 31.40 | 100 | 1 1 2 |
| 32.64 | 50 | 2 0 0 |
| 57.46 | 41 | 3 1 2 |
| 46.82 | 30 | 2 2 0 |
| 55.10 | 22 | 2 0 4 |
| 43.11 | 21 | 0 0 4 |
| 65.53 | 20 | 2 2 4 |
| 71.73 | 11 | 1 1 6 |
| 77.84 | 9 | 2 4 0 |
| 19.32 | 9 | 1 0 1 |

Structure:
Lattice parameters (Å, degrees): 5.4877 5.4877 8.3930 90.00 90.00 90.00
Space group I4/m (No. 87)
One atom of each set of equivalent atoms:
Sr (0.0000, 0.5000, 0.2500) (multiplicity 4)
Mn (0.0000, 0.0000, 0.0000) (multiplicity 2)
Ru (0.0000, 0.0000, 0.5000) (multiplicity 2)
O (0.0000, 0.0000, 0.2660) (multiplicity 4)
O (0.2012, 0.7057, 0.0000) (multiplicity 8)


Entry 2:
This entry pairs a crystal structure of Sr3MnRuO7 with its computed X-ray diffraction stick pattern. Radiation: Cu Kα (λ = 1.5418 Å). Structure: a crystal structure in the Materials Project, relaxed with PBE+U.

Largest 10 diffraction maxima, most intense first, 10° ≤ 2θ ≤ 90°:
| Position (°2θ) | I (rel.) | h k l |
| --- | --- | --- |
| 31.47 | 100 | 1 0 5 |
| 32.03 | 65 | 1 1 0 |
| 45.93 | 40 | 2 0 0 |
| 56.74 | 38 | 2 1 5 |
| 65.68 | 16 | 2 0 10 |
| 55.67 | 16 | 1 1 10 |
| 67.00 | 16 | 2 2 0 |
| 44.26 | 15 | 0 0 10 |
| 41.79 | 12 | 1 1 6 |
| 76.18 | 10 | 3 1 0 |

Structure:
Lattice parameters (Å, degrees): 3.9519 3.9519 20.4653 90.00 90.00 90.00
Space group I4mm (No. 107)
One atom of each set of equivalent atoms:
Sr (0.0000, 0.0000, 0.0000) (multiplicity 2)
Sr (0.0000, 0.0000, 0.1742) (multiplicity 2)
Sr (0.0000, 0.0000, 0.3672) (multiplicity 2)
Mn (0.0000, 0.0000, 0.5810) (multiplicity 2)
Ru (0.0000, 0.0000, 0.7779) (multiplicity 2)
O (0.0000, 0.0000, 0.4870) (multiplicity 2)
O (0.0000, 0.0000, 0.6809) (multiplicity 2)
O (0.0000, 0.0000, 0.8764) (multiplicity 2)
O (0.0000, 0.5000, 0.0852) (multiplicity 4)
O (0.0000, 0.5000, 0.2787) (multiplicity 4)


Entry 3:
This entry pairs a crystal structure of Sr10MnRu4O20 with its computed X-ray diffraction stick pattern. Radiation: Cu Kα (λ = 1.5418 Å). Structure: a crystal structure in the Materials Project, relaxed with PBE+U.

Largest 10 diffraction maxima, most intense first, 10° ≤ 2θ ≤ 90°:
| Position (°2θ) | I (rel.) | h k l |
| --- | --- | --- |
| 30.99 | 100 | 1 0 15 |
| 32.30 | 66 | 1 1 0 |
| 56.79 | 37 | 2 1 15 |
| 46.33 | 36 | 2 0 0 |
| 54.27 | 19 | 1 1 30 |
| 64.59 | 17 | 2 0 30 |
| 13.84 | 17 | 0 0 10 |
| 42.38 | 17 | 0 0 30 |
| 76.93 | 16 | 3 1 0 |
| 67.61 | 15 | 2 2 0 |

Structure:
Lattice parameters (Å, degrees): 3.9192 3.9192 63.9853 90.00 90.00 90.00
Space group I4/mmm (No. 139)
One atom of each set of equivalent atoms:
Sr (0.0000, 0.0000, 0.0274) (multiplicity 4)
Sr (0.0000, 0.0000, 0.1705) (multiplicity 4)
Sr (0.0000, 0.0000, 0.2294) (multiplicity 4)
Sr (0.0000, 0.0000, 0.3708) (multiplicity 4)
Sr (0.0000, 0.0000, 0.4307) (multiplicity 4)
Mn (0.0000, 0.0000, 0.5000) (multiplicity 2)
Ru (0.0000, 0.0000, 0.0998) (multiplicity 4)
Ru (0.0000, 0.0000, 0.3000) (multiplicity 4)
O (0.0000, 0.0000, 0.0678) (multiplicity 4)
O (0.0000, 0.0000, 0.1326) (multiplicity 4)
O (0.0000, 0.0000, 0.2674) (multiplicity 4)
O (0.0000, 0.0000, 0.3326) (multiplicity 4)
O (0.0000, 0.0000, 0.4685) (multiplicity 4)
O (0.0000, 0.5000, 0.0000) (multiplicity 4)
O (0.0000, 0.5000, 0.1001) (multiplicity 8)
O (0.0000, 0.5000, 0.2000) (multiplicity 8)


Entry 4:
This entry pairs a crystal structure of MnS2O8 with its computed X-ray diffraction stick pattern. Radiation: Cu Kα (λ = 1.5418 Å). Structure: a crystal structure in the Materials Project, relaxed with PBE+U.

Largest 10 diffraction maxima, most intense first, 10° ≤ 2θ ≤ 90°:
| Position (°2θ) | I (rel.) | h k l |
| --- | --- | --- |
| 24.59 | 100 | 2 -1 3 |
| 14.67 | 52 | 0 1 2 |
| 32.32 | 35 | 2 -1 6 |
| 20.14 | 28 | 1 0 4 |
| 29.60 | 27 | 0 2 4 |
| 12.96 | 19 | 1 0 1 |
| 33.29 | 13 | 3 -1 1 |
| 39.59 | 13 | 3 0 3 |
| 53.11 | 12 | 3 -1 10 |
| 23.89 | 9 | 0 0 6 |

Structure:
Lattice parameters (Å, degrees): 8.2826 8.2826 22.3518 90.00 90.00 120.00
Space group R3 (No. 146, hexagonal axes)
One atom of each set of equivalent atoms:
Mn (0.0000, 0.0000, 0.0000) (multiplicity 3)
Mn (0.0000, 0.0000, 0.2040) (multiplicity 3)
Mn (0.0000, 0.0000, 0.7080) (multiplicity 3)
S (0.0058, 0.7121, 0.6041) (multiplicity 9)
S (0.0503, 0.3811, 0.7726) (multiplicity 9)
O (0.0497, 0.8365, 0.9486) (multiplicity 9)
O (0.0760, 0.8546, 0.2583) (multiplicity 9)
O (0.0863, 0.8520, 0.5591) (multiplicity 9)
O (0.1310, 0.6796, 0.3308) (multiplicity 9)
O (0.1411, 0.4629, 0.7134) (multiplicity 9)
O (0.1579, 0.4647, 0.4339) (multiplicity 9)
O (0.1837, 0.4248, 0.1198) (multiplicity 9)
O (0.1997, 0.4423, 0.8207) (multiplicity 9)


Entry 5:
This entry pairs a crystal structure of MnSO3 with its computed X-ray diffraction stick pattern. Radiation: Cu Kα (λ = 1.5418 Å). Structure: a crystal structure in the Materials Project, relaxed with PBE+U.

Largest 10 diffraction maxima, most intense first, 10° ≤ 2θ ≤ 90°:
| Position (°2θ) | I (rel.) | h k l |
| --- | --- | --- |
| 29.40 | 100 | 1 0 2 |
| 27.10 | 70 | 1 3 0 |
| 25.65 | 67 | 1 1 -2 |
| 12.83 | 65 | 0 1 1 |
| 22.95 | 45 | 1 2 -1 |
| 23.99 | 43 | 0 3 1 |
| 17.83 | 42 | 0 2 1 |
| 33.22 | 42 | 1 4 0 |
| 25.83 | 40 | 0 2 2 |
| 28.06 | 38 | 1 3 -1 |

Structure:
Lattice parameters (Å, degrees): 5.4963 12.4411 8.4264 90.00 100.32 90.00
Space group P2_1/c (No. 14)
One atom of each set of equivalent atoms:
Mn (0.1157, 0.2460, 0.1582) (multiplicity 4)
Mn (0.3327, 0.5796, 0.1167) (multiplicity 4)
S (0.0865, 0.5186, 0.7454) (multiplicity 4)
S (0.4790, 0.6758, 0.5093) (multiplicity 4)
O (0.0258, 0.5964, 0.2561) (multiplicity 4)
O (0.0953, 0.0788, 0.6627) (multiplicity 4)
O (0.2663, 0.7392, 0.9960) (multiplicity 4)
O (0.2814, 0.2403, 0.9238) (multiplicity 4)
O (0.3295, 0.5154, 0.8716) (multiplicity 4)
O (0.4740, 0.1596, 0.1660) (multiplicity 4)


Entry 6:
This entry pairs a crystal structure of MnS2O8 with its computed X-ray diffraction stick pattern. Radiation: Cu Kα (λ = 1.5418 Å). Structure: a crystal structure in the Materials Project, relaxed with PBE+U.

Largest 10 diffraction maxima, most intense first, 10° ≤ 2θ ≤ 90°:
| Position (°2θ) | I (rel.) | h k l |
| --- | --- | --- |
| 24.77 | 100 | 1 1 3 |
| 14.77 | 49 | 0 1 2 |
| 32.48 | 38 | 2 -1 6 |
| 20.23 | 25 | 1 0 4 |
| 29.80 | 25 | 0 2 4 |
| 33.59 | 14 | 2 1 1 |
| 37.95 | 12 | 3 0 0 |
| 39.92 | 10 | 0 3 3 |
| 50.81 | 10 | 4 -2 6 |
| 53.36 | 10 | 2 1 10 |

Structure:
Lattice parameters (Å, degrees): 8.2097 8.2097 22.3175 90.00 90.00 120.00
Space group R3 (No. 146, hexagonal axes)
One atom of each set of equivalent atoms:
Mn (0.0000, 0.0000, 0.0000) (multiplicity 3)
Mn (0.0000, 0.0000, 0.2004) (multiplicity 3)
Mn (0.0000, 0.0000, 0.5059) (multiplicity 3)
S (0.0004, 0.7111, 0.6043) (multiplicity 9)
S (0.0022, 0.2978, 0.1054) (multiplicity 9)
O (0.0113, 0.2130, 0.0466) (multiplicity 9)
O (0.0360, 0.8320, 0.9402) (multiplicity 9)
O (0.0803, 0.8582, 0.2537) (multiplicity 9)
O (0.0849, 0.8533, 0.5532) (multiplicity 9)
O (0.1389, 0.6804, 0.3261) (multiplicity 9)
O (0.1620, 0.4489, 0.4357) (multiplicity 9)
O (0.1900, 0.4412, 0.8191) (multiplicity 9)
O (0.2049, 0.4359, 0.1197) (multiplicity 9)


Entry 7:
This entry pairs a crystal structure of MnSO8 with its computed X-ray diffraction stick pattern. Radiation: Cu Kα (λ = 1.5418 Å). Structure: a crystal structure in the Materials Project, relaxed with PBE+U.

Largest 10 diffraction maxima, most intense first, 10° ≤ 2θ ≤ 90°:
| Position (°2θ) | I (rel.) | h k l |
| --- | --- | --- |
| 21.16 | 100 | 0 0 2 |
| 19.22 | 90 | 1 2 -1 |
| 16.44 | 86 | 1 1 -1 |
| 22.95 | 71 | 0 4 0 |
| 24.74 | 62 | 1 1 1 |
| 23.15 | 60 | 1 3 -1 |
| 20.94 | 44 | 1 1 -2 |
| 30.66 | 41 | 1 2 -3 |
| 21.94 | 28 | 0 1 2 |
| 18.10 | 21 | 1 1 0 |

Structure:
Lattice parameters (Å, degrees): 5.8331 15.5003 9.4803 90.00 117.67 90.00
Space group P2_1/c (No. 14)
One atom of each set of equivalent atoms:
Mn (0.2400, 0.1414, 0.2848) (multiplicity 4)
S (0.3977, 0.6046, 0.6870) (multiplicity 4)
O (0.0327, 0.0792, 0.3104) (multiplicity 4)
O (0.1079, 0.2369, 0.2616) (multiplicity 4)
O (0.2490, 0.5562, 0.7530) (multiplicity 4)
O (0.2627, 0.1143, 0.1286) (multiplicity 4)
O (0.3206, 0.0880, 0.7232) (multiplicity 4)
O (0.3250, 0.6953, 0.6961) (multiplicity 4)
O (0.3343, 0.5775, 0.5231) (multiplicity 4)
O (0.4835, 0.6387, 0.0621) (multiplicity 4)